Entry 1:
# Tl6CdPb2
Calculated X-ray diffraction stick pattern, Cu Kα. Input: a crystal structure in Alexandria, relaxed with PBE.
Neutral-atom scattering factors, no anomalous dispersion.

The 10 most intense peaks (15° ≤ 2θ ≤ 90°), sorted by position:
2θ 28.97, d 3.082, I = 43
2θ 30.92, d 2.892, I = 23
2θ 32.11, d 2.788, I = 33
2θ 32.37, d 2.766, I = 40
2θ 34.14, d 2.626, I = 100
2θ 43.79, d 2.067, I = 22
2θ 51.35, d 1.779, I = 35
2θ 59.70, d 1.549, I = 33
2θ 61.86, d 1.500, I = 31
2θ 63.11, d 1.473, I = 17

Structure:
Lattice parameters (Å, degrees): 3.5588 3.5588 25.0881 90.00 90.00 120.00
Fractional coordinates of all 9 atoms:
1 Tl 0.0000 0.0000 0.0639
2 Tl 0.0000 0.0000 0.2867
3 Tl 0.0000 0.0000 0.7133
4 Tl 0.0000 0.0000 0.9361
5 Tl 0.3333 0.6667 0.3999
6 Tl 0.3333 0.6667 0.6001
7 Cd 0.0000 0.0000 0.5000
8 Pb 0.3333 0.6667 0.1753
9 Pb 0.3333 0.6667 0.8247

Entry 2:
# Tl3Cd2Pb3
Calculated X-ray diffraction stick pattern, Cu Kα. Input: a crystal structure in Alexandria, relaxed with PBE.
Neutral-atom scattering factors, no anomalous dispersion.

The 10 most intense peaks (15° ≤ 2θ ≤ 90°), sorted by position:
2θ 31.86, d 2.809, I = 100
2θ 34.89, d 2.571, I = 20
2θ 35.49, d 2.530, I = 19
2θ 40.29, d 2.238, I = 12
2θ 50.62, d 1.803, I = 14
2θ 54.34, d 1.688, I = 10
2θ 60.67, d 1.526, I = 16
2θ 61.46, d 1.509, I = 16
2θ 67.99, d 1.379, I = 9
2θ 83.21, d 1.161, I = 7

Structure:
Lattice parameters (Å, degrees): 18.5968 5.1428 5.0594 90.00 105.66 90.00
Fractional coordinates of all 16 atoms:
1 Tl 0.0000 0.0000 0.0000
2 Tl 0.1329 0.0000 0.6346
3 Tl 0.3671 0.5000 0.3654
4 Tl 0.5000 0.5000 0.0000
5 Tl 0.6329 0.5000 0.6346
6 Tl 0.8671 0.0000 0.3654
7 Cd 0.2487 0.0000 0.2494
8 Cd 0.2513 0.5000 0.7506
9 Cd 0.7487 0.5000 0.2494
10 Cd 0.7513 0.0000 0.7506
11 Pb 0.0000 0.5000 0.5000
12 Pb 0.1345 0.5000 0.1350
13 Pb 0.3655 0.0000 0.8650
14 Pb 0.5000 0.0000 0.5000
15 Pb 0.6345 0.0000 0.1350
16 Pb 0.8655 0.5000 0.8650

Entry 3:
# Tl6Cd2Pb
Calculated X-ray diffraction stick pattern, Cu Kα. Input: a crystal structure in Alexandria, relaxed with PBE.
Neutral-atom scattering factors, no anomalous dispersion.

The 10 most intense peaks (15° ≤ 2θ ≤ 90°), sorted by position:
2θ 29.60, d 3.018, I = 61
2θ 31.76, d 2.817, I = 52
2θ 32.87, d 2.725, I = 100
2θ 34.59, d 2.593, I = 91
2θ 36.59, d 2.456, I = 17
2θ 43.97, d 2.059, I = 36
2θ 52.53, d 1.742, I = 43
2θ 56.15, d 1.638, I = 18
2θ 59.53, d 1.553, I = 17
2θ 62.70, d 1.482, I = 46

Structure:
Lattice parameters (Å, degrees): 3.4844 3.4844 25.3539 90.00 90.00 120.00
Fractional coordinates of all 9 atoms:
1 Tl 0.0000 0.0000 0.0633
2 Tl 0.0000 0.0000 0.2697
3 Tl 0.0000 0.0000 0.7303
4 Tl 0.0000 0.0000 0.9367
5 Tl 0.3333 0.6667 0.3850
6 Tl 0.3333 0.6667 0.6150
7 Cd 0.3333 0.6667 0.1666
8 Cd 0.3333 0.6667 0.8334
9 Pb 0.0000 0.0000 0.5000

Entry 4:
# Tl12Cd3Pb
Calculated X-ray diffraction stick pattern, Cu Kα. Input: a crystal structure in Alexandria, relaxed with PBE.
Neutral-atom scattering factors, no anomalous dispersion.

The 10 most intense peaks (15° ≤ 2θ ≤ 90°), sorted by position:
2θ 31.60, d 2.832, I = 100
2θ 35.29, d 2.543, I = 18
2θ 37.31, d 2.410, I = 32
2θ 52.29, d 1.749, I = 24
2θ 53.79, d 1.704, I = 11
2θ 61.04, d 1.518, I = 15
2θ 63.74, d 1.460, I = 27
2θ 65.98, d 1.416, I = 12
2θ 85.70, d 1.134, I = 12
2θ 88.09, d 1.109, I = 6

Structure:
Lattice parameters (Å, degrees): 4.8204 4.8204 20.3456 90.00 90.00 90.00
Fractional coordinates of all 16 atoms:
1 Tl 0.0000 0.0000 0.0000
2 Tl 0.0000 0.0000 0.2464
3 Tl 0.0000 0.0000 0.5000
4 Tl 0.0000 0.0000 0.7536
5 Tl 0.0000 0.5000 0.1225
6 Tl 0.0000 0.5000 0.3716
7 Tl 0.0000 0.5000 0.6284
8 Tl 0.0000 0.5000 0.8775
9 Tl 0.5000 0.0000 0.1225
10 Tl 0.5000 0.0000 0.3716
11 Tl 0.5000 0.0000 0.6284
12 Tl 0.5000 0.0000 0.8775
13 Cd 0.5000 0.5000 0.0000
14 Cd 0.5000 0.5000 0.2433
15 Cd 0.5000 0.5000 0.7567
16 Pb 0.5000 0.5000 0.5000

Entry 5:
# Tl7CdPb3
Calculated X-ray diffraction stick pattern, Cu Kα. Input: a crystal structure in Alexandria, relaxed with PBE.
Neutral-atom scattering factors, no anomalous dispersion.

The 10 most intense peaks (15° ≤ 2θ ≤ 90°), sorted by position:
2θ 28.01, d 3.186, I = 20
2θ 30.32, d 2.948, I = 30
2θ 31.16, d 2.871, I = 19
2θ 31.69, d 2.824, I = 31
2θ 32.63, d 2.744, I = 100
2θ 32.76, d 2.734, I = 45
2θ 33.56, d 2.671, I = 27
2θ 34.41, d 2.607, I = 17
2θ 56.96, d 1.617, I = 17
2θ 64.49, d 1.445, I = 29

Structure:
Lattice parameters (Å, degrees): 12.7936 12.7936 16.4568 90.00 90.00 164.73
Fractional coordinates of all 22 atoms:
1 Tl 0.0200 0.9800 0.6104
2 Tl 0.0200 0.9800 0.8896
3 Tl 0.1209 0.8791 0.2500
4 Tl 0.1565 0.8435 0.6114
5 Tl 0.1565 0.8435 0.8886
6 Tl 0.2120 0.7880 0.0734
7 Tl 0.2120 0.7880 0.4266
8 Tl 0.7880 0.2120 0.5734
9 Tl 0.7880 0.2120 0.9266
10 Tl 0.8435 0.1565 0.1114
11 Tl 0.8435 0.1565 0.3886
12 Tl 0.8791 0.1209 0.7500
13 Tl 0.9800 0.0200 0.1104
14 Tl 0.9800 0.0200 0.3896
15 Cd 0.4123 0.5877 0.2500
16 Cd 0.5877 0.4123 0.7500
17 Pb 0.2652 0.7348 0.2500
18 Pb 0.4082 0.5918 0.5592
19 Pb 0.4082 0.5918 0.9408
20 Pb 0.5918 0.4082 0.0592
21 Pb 0.5918 0.4082 0.4408
22 Pb 0.7348 0.2652 0.7500

Entry 6:
# Tl7Cd2Pb3
Calculated X-ray diffraction stick pattern, Cu Kα. Input: a crystal structure in Alexandria, relaxed with PBE.
Neutral-atom scattering factors, no anomalous dispersion.

The 10 most intense peaks (15° ≤ 2θ ≤ 90°), sorted by position:
2θ 29.59, d 3.019, I = 27
2θ 29.73, d 3.005, I = 19
2θ 30.96, d 2.888, I = 25
2θ 31.73, d 2.820, I = 17
2θ 32.89, d 2.723, I = 100
2θ 35.51, d 2.528, I = 15
2θ 44.77, d 2.024, I = 18
2θ 54.65, d 1.679, I = 14
2θ 58.67, d 1.574, I = 12
2θ 60.80, d 1.523, I = 15

Structure:
Lattice parameters (Å, degrees): 18.4118 18.4118 18.4118 168.55 162.96 20.58
Fractional coordinates of all 12 atoms:
1 Tl 0.0000 0.0000 0.0000
2 Tl 0.0778 0.5778 0.5000
3 Tl 0.2329 0.2329 0.0000
4 Tl 0.4114 0.9114 0.5000
5 Tl 0.5886 0.0886 0.5000
6 Tl 0.7671 0.7671 0.0000
7 Tl 0.9222 0.4222 0.5000
8 Cd 0.1502 0.1502 0.0000
9 Cd 0.8498 0.8498 0.0000
10 Pb 0.3251 0.3251 0.0000
11 Pb 0.5000 0.5000 0.0000
12 Pb 0.6749 0.6749 0.0000

Entry 7:
# YTlCdPb
Calculated X-ray diffraction stick pattern, Cu Kα. Input: a crystal structure in Alexandria, relaxed with PBE.
Neutral-atom scattering factors, no anomalous dispersion.

The 10 most intense peaks (15° ≤ 2θ ≤ 90°), sorted by position:
2θ 23.39, d 3.804, I = 12
2θ 33.31, d 2.690, I = 100
2θ 41.10, d 2.196, I = 4
2θ 47.83, d 1.902, I = 18
2θ 53.90, d 1.701, I = 6
2θ 59.53, d 1.553, I = 38
2θ 69.96, d 1.345, I = 12
2θ 74.90, d 1.268, I = 3
2θ 79.72, d 1.203, I = 16
2θ 89.19, d 1.098, I = 4

Structure:
Lattice parameters (Å, degrees): 7.6072 7.6072 7.6072 90.00 90.00 90.00
Fractional coordinates of all 16 atoms:
1 Y 0.0000 0.0000 0.0000
2 Y 0.0000 0.5000 0.5000
3 Y 0.5000 0.0000 0.5000
4 Y 0.5000 0.5000 0.0000
5 Tl 0.2500 0.2500 0.7500
6 Tl 0.2500 0.7500 0.2500
7 Tl 0.7500 0.2500 0.2500
8 Tl 0.7500 0.7500 0.7500
9 Cd 0.0000 0.0000 0.5000
10 Cd 0.0000 0.5000 0.0000
11 Cd 0.5000 0.0000 0.0000
12 Cd 0.5000 0.5000 0.5000
13 Pb 0.2500 0.2500 0.2500
14 Pb 0.2500 0.7500 0.7500
15 Pb 0.7500 0.2500 0.7500
16 Pb 0.7500 0.7500 0.2500

Entry 8:
# Tm3Cd2Pb
Calculated X-ray diffraction stick pattern, Cu Kα. Input: a crystal structure in Alexandria, relaxed with PBE.
Neutral-atom scattering factors, no anomalous dispersion.

The 10 most intense peaks (15° ≤ 2θ ≤ 90°), sorted by position:
2θ 33.90, d 2.644, I = 100
2θ 34.12, d 2.628, I = 24
2θ 34.37, d 2.609, I = 24
2θ 48.20, d 1.888, I = 10
2θ 49.21, d 1.852, I = 17
2θ 60.52, d 1.530, I = 9
2θ 60.94, d 1.520, I = 18
2θ 61.26, d 1.513, I = 18
2θ 71.34, d 1.322, I = 11
2θ 82.14, d 1.173, I = 11

Structure:
Lattice parameters (Å, degrees): 5.2185 15.7672 3.7766 90.00 90.00 90.00
Fractional coordinates of all 12 atoms:
1 Tm 0.0000 0.0000 0.0000
2 Tm 0.0000 0.3319 0.0000
3 Tm 0.0000 0.6681 0.0000
4 Tm 0.5000 0.1681 0.0000
5 Tm 0.5000 0.5000 0.0000
6 Tm 0.5000 0.8319 0.0000
7 Cd 0.0000 0.1736 0.5000
8 Cd 0.0000 0.8264 0.5000
9 Cd 0.5000 0.3264 0.5000
10 Cd 0.5000 0.6736 0.5000
11 Pb 0.0000 0.5000 0.5000
12 Pb 0.5000 0.0000 0.5000

Entry 9:
# Tm2Cd3Pb
Calculated X-ray diffraction stick pattern, Cu Kα. Input: a crystal structure in Alexandria, relaxed with PBE.
Neutral-atom scattering factors, no anomalous dispersion.

The 10 most intense peaks (15° ≤ 2θ ≤ 90°), sorted by position:
2θ 30.53, d 2.929, I = 23
2θ 32.69, d 2.740, I = 37
2θ 32.92, d 2.721, I = 65
2θ 33.94, d 2.641, I = 100
2θ 37.77, d 2.382, I = 38
2θ 38.01, d 2.367, I = 25
2θ 40.56, d 2.224, I = 16
2θ 54.66, d 1.679, I = 17
2θ 56.63, d 1.625, I = 13
2θ 65.76, d 1.420, I = 15

Structure:
Lattice parameters (Å, degrees): 8.5606 8.5606 8.9052 118.95 118.95 32.31
Fractional coordinates of all 12 atoms:
1 Tm 0.0622 0.0622 0.3956
2 Tm 0.2389 0.2389 0.8359
3 Tm 0.7611 0.7611 0.1641
4 Tm 0.9378 0.9378 0.6044
5 Cd 0.1073 0.1073 0.0308
6 Cd 0.2699 0.2699 0.4329
7 Cd 0.4293 0.4293 0.8176
8 Cd 0.5707 0.5707 0.1824
9 Cd 0.7301 0.7301 0.5671
10 Cd 0.8927 0.8927 0.9692
11 Pb 0.4077 0.4077 0.2778
12 Pb 0.5923 0.5923 0.7222

Entry 10:
# Tm4CdPb5
Calculated X-ray diffraction stick pattern, Cu Kα. Input: a crystal structure in Alexandria, relaxed with PBE.
Neutral-atom scattering factors, no anomalous dispersion.

The 10 most intense peaks (15° ≤ 2θ ≤ 90°), sorted by position:
2θ 28.20, d 3.165, I = 24
2θ 29.28, d 3.050, I = 100
2θ 31.16, d 2.871, I = 22
2θ 33.88, d 2.646, I = 20
2θ 38.82, d 2.320, I = 18
2θ 41.10, d 2.196, I = 53
2θ 41.88, d 2.157, I = 37
2θ 51.26, d 1.782, I = 21
2θ 66.57, d 1.405, I = 19
2θ 68.82, d 1.364, I = 17

Structure:
Lattice parameters (Å, degrees): 7.5192 7.5192 7.5192 100.21 100.21 130.22
Fractional coordinates of all 10 atoms:
1 Tm 0.0917 0.6980 0.7897
2 Tm 0.3020 0.0917 0.3937
3 Tm 0.6980 0.9083 0.6063
4 Tm 0.9083 0.3020 0.2103
5 Cd 0.2644 0.2644 0.0000
6 Pb 0.2138 0.3980 0.6194
7 Pb 0.3980 0.7786 0.1842
8 Pb 0.5943 0.2138 0.8158
9 Pb 0.7778 0.7778 0.0000
10 Pb 0.7786 0.5943 0.3806

Entry 11:
# TmCd2Pb3
Calculated X-ray diffraction stick pattern, Cu Kα. Input: a crystal structure in Alexandria, relaxed with PBE.
Neutral-atom scattering factors, no anomalous dispersion.

The 10 most intense peaks (15° ≤ 2θ ≤ 90°), sorted by position:
2θ 32.39, d 2.764, I = 99
2θ 32.63, d 2.745, I = 100
2θ 36.48, d 2.463, I = 72
2θ 40.07, d 2.250, I = 29
2θ 52.87, d 1.732, I = 13
2θ 55.30, d 1.661, I = 44
2θ 62.95, d 1.477, I = 26
2θ 63.38, d 1.468, I = 29
2θ 67.99, d 1.379, I = 12
2θ 68.12, d 1.376, I = 12

Structure:
Lattice parameters (Å, degrees): 4.5000 10.5104 6.9265 90.00 90.00 90.00
Fractional coordinates of all 12 atoms:
1 Tm 0.0000 0.1476 0.0000
2 Tm 0.0000 0.8524 0.5000
3 Cd 0.0000 0.1745 0.5117
4 Cd 0.0000 0.8255 0.0117
5 Cd 0.5000 0.3208 0.7467
6 Cd 0.5000 0.6792 0.2467
7 Pb 0.0000 0.4961 0.9981
8 Pb 0.0000 0.5039 0.4981
9 Pb 0.5000 0.0012 0.7532
10 Pb 0.5000 0.3253 0.2466
11 Pb 0.5000 0.6747 0.7466
12 Pb 0.5000 0.9988 0.2532

Entry 12:
# TmCd2Pb3
Calculated X-ray diffraction stick pattern, Cu Kα. Input: a crystal structure in Alexandria, relaxed with PBE.
Neutral-atom scattering factors, no anomalous dispersion.

The 10 most intense peaks (15° ≤ 2θ ≤ 90°), sorted by position:
2θ 33.15, d 2.702, I = 100
2θ 33.49, d 2.676, I = 23
2θ 34.64, d 2.590, I = 23
2θ 46.20, d 1.965, I = 10
2θ 48.95, d 1.861, I = 16
2θ 58.26, d 1.584, I = 10
2θ 59.01, d 1.565, I = 10
2θ 59.66, d 1.550, I = 16
2θ 61.13, d 1.516, I = 17
2θ 69.58, d 1.351, I = 11

Structure:
Lattice parameters (Å, degrees): 5.1794 16.0548 3.9299 90.00 90.00 90.00
Fractional coordinates of all 12 atoms:
1 Tm 0.0000 0.0000 0.0000
2 Tm 0.5000 0.5000 0.0000
3 Cd 0.0000 0.3431 0.0000
4 Cd 0.0000 0.6569 0.0000
5 Cd 0.5000 0.1569 0.0000
6 Cd 0.5000 0.8431 0.0000
7 Pb 0.0000 0.1751 0.5000
8 Pb 0.0000 0.5000 0.5000
9 Pb 0.0000 0.8249 0.5000
10 Pb 0.5000 0.0000 0.5000
11 Pb 0.5000 0.3249 0.5000
12 Pb 0.5000 0.6751 0.5000